[1]
The following is a simulated X-ray diffraction stick pattern of CaGe2. It was derived from a structure optimized by DFT (GGA-PBE), using copper Kα.

a b c (Å): 5.7502 5.7502 5.7502
angles (deg): 40.83 40.83 40.83
Element x y z (fractional)
Ca (0.0000, 0.0000, 0.0000)
Ge (0.2020, 0.2020, 0.2020)
Ge (0.7980, 0.7980, 0.7980)

Principal peaks in the range 2θ from 10° to 90°, by intensity:
2.337 Å, intensity 100; 2.006 Å, intensity 63; 3.393 Å, intensity 58; 3.180 Å, intensity 42; 5.263 Å, intensity 40; 2.608 Å, intensity 34; 1.522 Å, intensity 25; 1.212 Å, intensity 23

---

[2]
The following is a simulated X-ray diffraction stick pattern of CaGe2. It was derived from a structure optimized by DFT (GGA-PBE), using copper Kα.

a b c (Å): 4.2365 4.2365 4.3226
angles (deg): 91.04 91.04 69.32
Element x y z (fractional)
Ca (0.0000, 0.0000, 0.0000)
Ge (0.3209, 0.3209, 0.5258)
Ge (0.6791, 0.6791, 0.4742)

Principal peaks in the range 2θ from 10° to 90°, by intensity:
2.903 Å, intensity 100; 4.322 Å, intensity 92; 2.092 Å, intensity 83; 2.409 Å, intensity 66; 2.742 Å, intensity 62; 2.939 Å, intensity 45; 2.161 Å, intensity 44; 1.810 Å, intensity 35